MgTeWO6: simulated X-ray powder pattern (λ = 1.5418 Å (Cu Kα)), based on a crystal structure in Alexandria, relaxed with PBE+U.
Intensities are scaled so that the largest is 100.

Structural model:
Cell lengths 5.3896, 5.3896, 9.0150 Å; angles 90.00, 90.00, 120.00 degrees
Fractional positions:
1 Mg 0.0000 0.0000 0.0000
2 Mg 0.0000 0.0000 0.5000
3 Te 0.3333 0.6667 0.2500
4 Te 0.6667 0.3333 0.7500
5 W 0.3333 0.6667 0.7500
6 W 0.6667 0.3333 0.2500
7 O 0.0292 0.3591 0.6313
8 O 0.0292 0.6701 0.8687
9 O 0.3299 0.3591 0.8687
10 O 0.3299 0.9708 0.6313
11 O 0.3591 0.0292 0.1313
12 O 0.3591 0.3299 0.3687
13 O 0.6409 0.6701 0.6313
14 O 0.6409 0.9708 0.8687
15 O 0.6701 0.0292 0.3687
16 O 0.6701 0.6409 0.1313
17 O 0.9708 0.3299 0.1313
18 O 0.9708 0.6409 0.3687

Most intense lines, 2θ = 10–90°, low angle first:
d_spacing  intensity  (hkl)
4.668  63.5  1 0 0
4.508  94.3  0 0 2
3.242  97.6  1 0 2
2.695  73.8  1 1 0
2.313  100.0  1 1 2
2.072  27.6  2 0 2
1.729  71.1  1 1 4
1.643  26.7  2 1 2
1.556  28.6  3 0 0
1.471  23.9  3 0 2